Entry 1:
Simulated powder XRD pattern
Compound: La12NdHo3
Radiation: Cu Ka
Structure: the PBE geometry in Alexandria
Kinematic intensities with the Lorentz-polarization factor, no thermal factor.

Structure:
```
data_La12NdHo3
_cell_length_a 5.213
_cell_length_b 5.213
_cell_length_c 20.856
_cell_angle_alpha 90.00
_cell_angle_beta 90.00
_cell_angle_gamma 90.00
_space_group_name_H-M_alt 'P 4/m m m'
_space_group_IT_number 123
_space_group_name_Hall '-P 4 2'
loop_
_atom_site_label
_atom_site_type_symbol
_atom_site_fract_x
_atom_site_fract_y
_atom_site_fract_z
La1 La 0.000 0.000 0.000
La2 La 0.000 0.000 0.249
La3 La 0.000 0.000 0.500
La4 La 0.000 0.500 0.124
La5 La 0.000 0.500 0.373
Nd1 Nd 0.500 0.500 0.500
Ho1 Ho 0.500 0.500 0.000
Ho2 Ho 0.500 0.500 0.249
```

Peak list (6 most intense, 2θ from 10° to 80°, in order of rising 2θ)
(hkl)	2theta	I/Imax
1 1 4	29.68	100
2 0 0	34.41	51
2 2 0	49.45	36
3 1 4	58.74	43
2 2 8	61.63	12
4 0 0	72.53	6



Entry 2:
Simulated powder XRD pattern
Compound: LaNd2Ho9
Radiation: Cu Ka
Structure: the PBE geometry in Alexandria
Kinematic intensities with the Lorentz-polarization factor, no thermal factor.

Structure:
```
data_LaNd2Ho9
_cell_length_a 11.3111
_cell_length_b 11.3111
_cell_length_c 3.5294
_cell_angle_alpha 90.00
_cell_angle_beta 90.00
_cell_angle_gamma 120.00
_space_group_name_H-M_alt 'P 6/m m m'
_space_group_IT_number 191
_space_group_name_Hall '-P 6 2'
loop_
_atom_site_label
_atom_site_type_symbol
_atom_site_fract_x
_atom_site_fract_y
_atom_site_fract_z
La1 La 0.0000 0.0000 0.0000
Nd1 Nd 0.3333 0.6667 0.0000
Ho1 Ho 0.0000 0.5000 0.0000
Ho2 Ho 0.1770 0.3539 0.5000
```

Peak list (10 most intense, 2θ from 10° to 80°, in order of rising 2θ)
(hkl)	2theta	I/Imax
1 1 1	29.84	23
2 0 1	31.24	56
2 2 0	31.64	100
2 1 1	35.13	20
3 0 1	37.52	13
4 0 1	45.06	19
4 2 1	56.10	20
6 0 0	56.35	18
2 2 2	61.99	29
4 4 0	66.08	10



Entry 3:
Simulated powder XRD pattern
Compound: La3Nd4Ho5
Radiation: Cu Ka
Structure: the PBE geometry in Alexandria
Kinematic intensities with the Lorentz-polarization factor, no thermal factor.

Structure:
```
data_La3Nd4Ho5
_cell_length_a 16.235
_cell_length_b 6.046
_cell_length_c 9.464
_cell_angle_alpha 90.00
_cell_angle_beta 116.41
_cell_angle_gamma 90.00
_space_group_name_H-M_alt 'C 1 2/m 1'
_space_group_IT_number 12
_space_group_name_Hall '-C 2y'
loop_
_atom_site_label
_atom_site_type_symbol
_atom_site_fract_x
_atom_site_fract_y
_atom_site_fract_z
La1 La 0.000 0.000 0.000
La2 La 0.210 0.500 0.232
Nd1 Nd 0.084 0.500 0.445
Nd2 Nd 0.207 0.500 0.880
Ho1 Ho 0.000 0.500 0.000
Ho2 Ho 0.071 0.000 0.696
Ho3 Ho 0.171 0.000 0.388
```

Peak list (10 most intense, 2θ from 10° to 80°, in order of rising 2θ)
(hkl)	2theta	I/Imax
4 0 -2	24.14	26
2 0 -3	28.35	27
3 1 1	29.00	33
0 2 0	29.55	100
4 0 1	30.77	36
5 1 -1	31.43	62
5 1 -2	32.16	64
3 1 -3	32.31	29
1 1 -3	33.00	62
4 2 1	43.19	31



Entry 4:
Simulated powder XRD pattern
Compound: LaNd8Ho3
Radiation: Cu Ka
Structure: the PBE geometry in Alexandria
Kinematic intensities with the Lorentz-polarization factor, no thermal factor.

Structure:
```
data_LaNd8Ho3
_cell_length_a 6.312
_cell_length_b 6.319
_cell_length_c 10.950
_cell_angle_alpha 106.58
_cell_angle_beta 90.15
_cell_angle_gamma 99.58
_space_group_name_H-M_alt 'P 1'
_space_group_IT_number 1
_space_group_name_Hall 'P 1'
loop_
_atom_site_label
_atom_site_type_symbol
_atom_site_fract_x
_atom_site_fract_y
_atom_site_fract_z
La1 La 0.000 0.000 0.000
Nd1 Nd 0.002 0.003 0.338
Nd2 Nd 0.250 0.504 0.588
Nd3 Nd 0.252 0.504 0.252
Nd4 Nd 0.253 0.501 0.918
Nd5 Nd 0.501 0.007 0.506
Nd6 Nd 0.503 0.006 0.835
Nd7 Nd 0.504 0.004 0.169
Nd8 Nd 0.751 0.506 0.421
Ho1 Ho 0.752 0.502 0.084
Ho2 Ho 0.753 0.503 0.753
Ho3 Ho 0.999 0.003 0.669
```

Peak list (10 most intense, 2θ from 10° to 80°, in order of rising 2θ)
(hkl)	2theta	I/Imax
1 0 3	29.99	100
-1 1 3	34.68	17
2 1 0	34.82	34
3 0 -3	49.97	30
3 -1 3	50.10	6
0 1 6	59.29	14
4 0 0	59.45	22
3 -3 3	59.51	7
2 0 6	62.32	9
4 -2 0	62.39	3



Entry 5:
Simulated powder XRD pattern
Compound: La2NdHo3
Radiation: Cu Ka
Structure: the PBE geometry in Alexandria
Kinematic intensities with the Lorentz-polarization factor, no thermal factor.

Structure:
```
data_La2NdHo3
_cell_length_a 17.125
_cell_length_b 6.983
_cell_length_c 7.052
_cell_angle_alpha 90.00
_cell_angle_beta 101.89
_cell_angle_gamma 90.00
_space_group_name_H-M_alt 'C 1 2/c 1'
_space_group_IT_number 15
_space_group_name_Hall '-C 2yc'
loop_
_atom_site_label
_atom_site_type_symbol
_atom_site_fract_x
_atom_site_fract_y
_atom_site_fract_z
La1 La 0.177 0.010 0.090
Nd1 Nd 0.000 0.235 0.750
Ho1 Ho 0.000 0.236 0.250
Ho2 Ho 0.137 0.493 0.567
```

Peak list (10 most intense, 2θ from 10° to 80°, in order of rising 2θ)
(hkl)	2theta	I/Imax
2 2 0	27.68	45
5 1 0	29.57	19
4 0 -2	29.97	100
6 0 0	32.05	29
4 2 0	33.41	49
0 2 2	36.61	65
2 0 -4	51.87	18
0 4 0	52.45	27
8 2 -2	53.17	23
4 4 -2	61.56	24



Entry 6:
Simulated powder XRD pattern
Compound: La15Nd4Ho
Radiation: Cu Ka
Structure: the PBE geometry in Alexandria
Kinematic intensities with the Lorentz-polarization factor, no thermal factor.

Structure:
```
data_La15Nd4Ho
_cell_length_a 5.238
_cell_length_b 5.238
_cell_length_c 26.293
_cell_angle_alpha 90.00
_cell_angle_beta 90.00
_cell_angle_gamma 90.00
_space_group_name_H-M_alt 'P 4/m m m'
_space_group_IT_number 123
_space_group_name_Hall '-P 4 2'
loop_
_atom_site_label
_atom_site_type_symbol
_atom_site_fract_x
_atom_site_fract_y
_atom_site_fract_z
La1 La 0.000 0.000 0.000
La2 La 0.000 0.000 0.199
La3 La 0.000 0.000 0.400
La4 La 0.000 0.500 0.099
La5 La 0.000 0.500 0.299
La6 La 0.000 0.500 0.500
Nd1 Nd 0.500 0.500 0.199
Nd2 Nd 0.500 0.500 0.400
Ho1 Ho 0.500 0.500 0.000
```

Peak list (10 most intense, 2θ from 10° to 80°, in order of rising 2θ)
(hkl)	2theta	I/Imax
1 1 5	29.50	100
0 0 10	34.10	17
2 0 0	34.24	34
2 0 10	49.10	24
2 2 0	49.20	12
1 1 15	58.23	14
3 1 5	58.42	29
2 2 10	61.22	12
3 1 15	79.64	12
3 3 5	79.80	6



Entry 7:
Simulated powder XRD pattern
Compound: La4NdHo4
Radiation: Cu Ka
Structure: the PBE geometry in Alexandria
Kinematic intensities with the Lorentz-polarization factor, no thermal factor.

Structure:
```
data_La4NdHo4
_cell_length_a 10.911
_cell_length_b 10.911
_cell_length_c 5.164
_cell_angle_alpha 90.00
_cell_angle_beta 90.00
_cell_angle_gamma 90.00
_space_group_name_H-M_alt 'I 4/m m m'
_space_group_IT_number 139
_space_group_name_Hall '-I 4 2'
loop_
_atom_site_label
_atom_site_type_symbol
_atom_site_fract_x
_atom_site_fract_y
_atom_site_fract_z
La1 La 0.167 0.167 0.000
Nd1 Nd 0.000 0.000 0.500
Ho1 Ho 0.000 0.338 0.500
```

Peak list (10 most intense, 2θ from 10° to 80°, in order of rising 2θ)
(hkl)	2theta	I/Imax
3 0 1	30.05	100
0 0 2	34.74	17
3 3 0	34.89	34
3 3 2	50.06	24
6 0 0	50.16	12
3 0 3	59.40	15
6 3 1	59.59	29
6 0 2	62.46	12
0 0 4	73.32	2
6 6 0	73.67	4



Entry 8:
Simulated powder XRD pattern
Compound: La8NdHo3
Radiation: Cu Ka
Structure: the PBE geometry in Alexandria
Kinematic intensities with the Lorentz-polarization factor, no thermal factor.

Structure:
```
data_La8NdHo3
_cell_length_a 6.881
_cell_length_b 11.198
_cell_length_c 11.755
_cell_angle_alpha 90.00
_cell_angle_beta 90.00
_cell_angle_gamma 90.00
_space_group_name_H-M_alt 'I m m m'
_space_group_IT_number 71
_space_group_name_Hall '-I 2 2'
loop_
_atom_site_label
_atom_site_type_symbol
_atom_site_fract_x
_atom_site_fract_y
_atom_site_fract_z
La1 La 0.000 0.164 0.247
La2 La 0.221 0.275 0.000
Nd1 Nd 0.000 0.000 0.500
Ho1 Ho 0.000 0.000 0.000
Ho2 Ho 0.000 0.500 0.234
```

Peak list (10 most intense, 2θ from 10° to 80°, in order of rising 2θ)
(hkl)	2theta	I/Imax
1 1 2	21.41	18
2 0 2	30.10	43
0 0 4	30.44	79
1 3 2	31.22	100
2 2 2	34.18	32
2 2 4	43.61	19
3 3 2	49.13	23
1 3 6	54.55	19
2 6 0	56.06	14
2 6 4	65.12	17



Entry 9:
Simulated powder XRD pattern
Compound: La4Nd8Ho
Radiation: Cu Ka
Structure: the PBE geometry in Alexandria
Kinematic intensities with the Lorentz-polarization factor, no thermal factor.

Structure:
```
data_La4Nd8Ho
_cell_length_a 11.9010
_cell_length_b 11.9010
_cell_length_c 11.8286
_cell_angle_alpha 90.00
_cell_angle_beta 90.00
_cell_angle_gamma 120.00
_space_group_name_H-M_alt 'R -3 m'
_space_group_IT_number 166
_space_group_name_Hall '-R 3 2"'
loop_
_atom_site_label
_atom_site_type_symbol
_atom_site_fract_x
_atom_site_fract_y
_atom_site_fract_z
La1 La 0.0000 0.0000 0.0000
La2 La 0.0000 0.5000 0.0000
Nd1 Nd 0.0000 0.0000 0.2397
Nd2 Nd 0.0028 0.5014 0.6650
Ho1 Ho 0.0000 0.0000 0.5000
```

Peak list (10 most intense, 2θ from 10° to 80°, in order of rising 2θ)
(hkl)	2theta	I/Imax
0 0 3	22.55	28
1 1 3	27.13	19
2 2 0	30.03	100
0 3 3	34.63	10
2 2 3	37.88	44
2 1 4	38.21	10
6 0 0	53.33	20
2 2 6	55.95	17
6 0 3	58.62	12
4 4 0	62.43	12



Entry 10:
Simulated powder XRD pattern
Compound: La7Nd2Ho
Radiation: Cu Ka
Structure: the PBE geometry in Alexandria
Kinematic intensities with the Lorentz-polarization factor, no thermal factor.

Structure:
```
data_La7Nd2Ho
_cell_length_a 9.037
_cell_length_b 3.531
_cell_length_c 12.036
_cell_angle_alpha 90.00
_cell_angle_beta 111.56
_cell_angle_gamma 90.00
_space_group_name_H-M_alt 'P 1 2/m 1'
_space_group_IT_number 10
_space_group_name_Hall '-P 2y'
loop_
_atom_site_label
_atom_site_type_symbol
_atom_site_fract_x
_atom_site_fract_y
_atom_site_fract_z
La1 La 0.000 0.000 0.000
La2 La 0.190 0.000 0.307
La3 La 0.222 0.000 0.809
La4 La 0.392 0.500 0.112
Nd1 Nd 0.396 0.000 0.602
Ho1 Ho 0.000 0.500 0.500
```

Peak list (10 most intense, 2θ from 10° to 80°, in order of rising 2θ)
(hkl)	2theta	I/Imax
0 1 0	25.22	19
1 1 1	29.65	60
1 0 -4	29.71	100
3 0 -2	29.96	89
2 0 2	30.95	71
2 1 -1	32.17	25
2 1 -3	36.13	36
1 2 -4	60.83	25
3 2 -2	60.98	20
2 2 2	61.56	20



Entry 11:
Simulated powder XRD pattern
Compound: La9Nd4Ho
Radiation: Cu Ka
Structure: the PBE geometry in Alexandria
Kinematic intensities with the Lorentz-polarization factor, no thermal factor.

Structure:
```
data_La9Nd4Ho
_cell_length_a 10.0986
_cell_length_b 10.0986
_cell_length_c 11.6535
_cell_angle_alpha 90.00
_cell_angle_beta 90.00
_cell_angle_gamma 120.00
_space_group_name_H-M_alt 'P 63/m m c'
_space_group_IT_number 194
_space_group_name_Hall '-P 6c 2c'
loop_
_atom_site_label
_atom_site_type_symbol
_atom_site_fract_x
_atom_site_fract_y
_atom_site_fract_z
La1 La 0.0793 0.5396 0.2500
La2 La 0.2072 0.4144 0.5306
Nd1 Nd 0.0000 0.0000 0.0000
Nd2 Nd 0.1136 0.2271 0.2500
Ho1 Ho 0.3333 0.6667 0.7500
```

Peak list (10 most intense, 2θ from 10° to 80°, in order of rising 2θ)
(hkl)	2theta	I/Imax
0 0 4	30.68	38
2 0 3	30.79	26
2 1 2	31.11	100
3 0 1	31.64	38
2 2 0	35.56	13
2 2 4	47.67	12
3 0 5	50.11	23
3 3 0	54.53	18
5 0 2	54.81	31
3 3 4	63.89	25



Entry 12:
Simulated powder XRD pattern
Compound: La3Nd4Ho8
Radiation: Cu Ka
Structure: the PBE geometry in Alexandria
Kinematic intensities with the Lorentz-polarization factor, no thermal factor.

Structure:
```
data_La3Nd4Ho8
_cell_length_a 13.537
_cell_length_b 12.960
_cell_length_c 6.819
_cell_angle_alpha 90.00
_cell_angle_beta 120.24
_cell_angle_gamma 90.00
_space_group_name_H-M_alt 'C 1 2/m 1'
_space_group_IT_number 12
_space_group_name_Hall '-C 2y'
loop_
_atom_site_label
_atom_site_type_symbol
_atom_site_fract_x
_atom_site_fract_y
_atom_site_fract_z
La1 La 0.000 0.000 0.000
La2 La 0.250 0.250 0.000
Nd1 Nd 0.000 0.500 0.000
Nd2 Nd 0.000 0.500 0.500
Nd3 Nd 0.250 0.250 0.500
Ho1 Ho 0.000 0.140 0.500
Ho2 Ho 0.000 0.242 0.000
Ho3 Ho 0.233 0.000 0.496
Ho4 Ho 0.233 0.000 0.973
```

Peak list (10 most intense, 2θ from 10° to 80°, in order of rising 2θ)
(hkl)	2theta	I/Imax
0 4 0	27.53	34
0 0 2	30.35	100
4 0 0	30.58	47
2 4 -1	31.53	30
2 4 1	38.47	12
0 4 2	41.43	45
4 4 0	41.61	21
4 0 2	54.21	18
4 4 2	61.86	12
0 8 2	65.79	20